1.
Starting from a cell relaxed with PBE+U, the powder XRD pattern of Li7Co5O12 was calculated for a wavelength of 1.5418 Å.
Peak positions follow from Bragg's law for the DFT cell and can differ from measured ones.

The 10 most intense peaks (2θ from 10° to 90°), low angle first:
2θ = 13.9°, d = 6.349 Å, I = 12, hkl 0 1 -1; 2θ = 18.7°, d = 4.751 Å, I = 100, hkl 0 0 2; 2θ = 36.7°, d = 2.448 Å, I = 13, hkl 2 0 0; 2θ = 36.9°, d = 2.433 Å, I = 12, hkl 1 3 1; 2θ = 37.1°, d = 2.424 Å, I = 12, hkl 1 -3 1; 2θ = 44.3°, d = 2.047 Å, I = 27, hkl 2 0 -2; 2θ = 44.7°, d = 2.026 Å, I = 26, hkl 1 3 3; 2θ = 44.9°, d = 2.020 Å, I = 26, hkl 1 -3 3; 2θ = 48.7°, d = 1.871 Å, I = 8, hkl 1 3 -3; 2θ = 64.3°, d = 1.449 Å, I = 14, hkl 1 3 -5

Atomic structure:
```
data_Li7Co5O12
_space_group_name_H-M_alt 'P 1'
_space_group_IT_number 1
_space_group_name_Hall 'P 1'
_cell_length_a 4.9594
_cell_length_b 8.5323
_cell_length_c 9.6268
_cell_angle_alpha 89.90
_cell_angle_beta 80.80
_cell_angle_gamma 89.77
loop_
_atom_site_label
_atom_site_type_symbol
_atom_site_fract_x
_atom_site_fract_y
_atom_site_fract_z
Li1 Li 0.0000 0.0000 0.0000
Li2 Li 0.0005 0.4978 0.5001
Li3 Li 0.2408 0.6645 0.2569
Li4 Li 0.2418 0.3357 0.2574
Li5 Li 0.2460 0.8386 0.7580
Li6 Li 0.2478 0.1631 0.7574
Li7 Li 0.2487 0.4982 0.7434
Li8 Li 0.2489 0.9988 0.2421
Li9 Li 0.7505 0.0006 0.7577
Li10 Li 0.7512 0.4990 0.2568
Li11 Li 0.7527 0.8389 0.2424
Li12 Li 0.7540 0.1631 0.2425
Li13 Li 0.7589 0.3355 0.7427
Li14 Li 0.7588 0.6648 0.7433
Co1 Co 0.0001 0.3291 0.0001
Co2 Co 0.9999 0.6711 0.0001
Co3 Co 0.0030 0.1688 0.5004
Co4 Co 0.4971 0.0016 0.4999
Co5 Co 0.4976 0.6665 0.4997
Co6 Co 0.5002 0.1654 0.0001
Co7 Co 0.5000 0.5000 0.0001
Co8 Co 0.4998 0.8347 0.0001
Co9 Co 0.5024 0.3391 0.5004
Co10 Co 0.9976 0.8278 0.4996
O1 O 0.1078 0.4998 0.1129
O2 O 0.1172 0.9951 0.6121
O3 O 0.1360 0.6812 0.6103
O4 O 0.1370 0.1829 0.1111
O5 O 0.1366 0.8169 0.1104
O6 O 0.1536 0.3205 0.6116
O7 O 0.3547 0.8276 0.3880
O8 O 0.3641 0.3343 0.8930
O9 O 0.3644 0.6660 0.8923
O10 O 0.3687 0.1720 0.3889
O11 O 0.3918 0.0004 0.8854
O12 O 0.3924 0.4983 0.3872
O13 O 0.6081 0.9997 0.1147
O14 O 0.6080 0.4992 0.6131
O15 O 0.6343 0.8310 0.6109
O16 O 0.6354 0.3341 0.1072
O17 O 0.6361 0.6659 0.1079
O18 O 0.6430 0.1749 0.6110
O19 O 0.8523 0.3212 0.3889
O20 O 0.8592 0.6818 0.3894
O21 O 0.8628 0.8173 0.8895
O22 O 0.8637 0.1832 0.8894
O23 O 0.8822 0.9989 0.3891
O24 O 0.8921 0.5003 0.8873
```


2.
Starting from a cell relaxed with PBE+U, the powder XRD pattern of BaNb2Fe2O9 was calculated for a wavelength of 1.5418 Å.
Peak positions follow from Bragg's law for the DFT cell and can differ from measured ones.

The 10 most intense peaks (2θ from 10° to 90°), low angle first:
2θ = 13.4°, d = 6.605 Å, I = 31, hkl 0 4 0; 2θ = 20.2°, d = 4.403 Å, I = 24, hkl 0 6 0; 2θ = 24.6°, d = 3.624 Å, I = 70, hkl 1 3 1; 2θ = 28.1°, d = 3.177 Å, I = 44, hkl 1 5 1; 2θ = 31.8°, d = 2.811 Å, I = 65, hkl 2 0 0; 2θ = 32.7°, d = 2.737 Å, I = 100, hkl 1 7 1; 2θ = 41.0°, d = 2.202 Å, I = 18, hkl 0 12 0; 2θ = 45.6°, d = 1.988 Å, I = 51, hkl 2 0 2; 2θ = 57.3°, d = 1.609 Å, I = 48, hkl 3 7 1; 2θ = 63.0°, d = 1.475 Å, I = 18, hkl 2 12 2

Atomic structure:
```
data_BaNb2Fe2O9
_space_group_name_H-M_alt 'F m m 2'
_space_group_IT_number 42
_space_group_name_Hall 'F 2 -2'
_cell_length_a 5.6219
_cell_length_b 26.4196
_cell_length_c 5.6231
_cell_angle_alpha 90.00
_cell_angle_beta 90.00
_cell_angle_gamma 90.00
loop_
_atom_site_label
_atom_site_type_symbol
_atom_site_fract_x
_atom_site_fract_y
_atom_site_fract_z
Ba1 Ba 0.0000 0.0000 0.0000
Nb1 Nb 0.0000 0.0840 0.4921
Fe1 Fe 0.0000 0.2252 0.5140
O1 O 0.0000 0.0000 0.5052
O2 O 0.0000 0.1567 0.5087
O3 O 0.2485 0.0766 0.7585
O4 O 0.2500 0.2500 0.2640
```


3.
Starting from a cell relaxed with PBE+U, the powder XRD pattern of Li3Fe4B4O12 was calculated for a wavelength of 1.5418 Å.
Peak positions follow from Bragg's law for the DFT cell and can differ from measured ones.

The 10 most intense peaks (2θ from 10° to 90°), low angle first:
2θ = 19.5°, d = 4.546 Å, I = 93, hkl 1 -1 0; 2θ = 21.4°, d = 4.155 Å, I = 46, hkl 1 -1 1; 2θ = 21.5°, d = 4.125 Å, I = 80, hkl 1 1 -2; 2θ = 26.0°, d = 3.425 Å, I = 61, hkl 0 2 1; 2θ = 26.5°, d = 3.367 Å, I = 38, hkl 0 2 -3; 2θ = 34.1°, d = 2.626 Å, I = 61, hkl 1 -3 1; 2θ = 34.2°, d = 2.621 Å, I = 35, hkl 2 0 -1; 2θ = 35.1°, d = 2.555 Å, I = 100, hkl 0 0 4; 2θ = 40.6°, d = 2.221 Å, I = 46, hkl 2 2 -1; 2θ = 49.2°, d = 1.852 Å, I = 26, hkl 0 2 -6

Atomic structure:
```
data_Li3Fe4B4O12
_space_group_name_H-M_alt 'P 1'
_space_group_IT_number 1
_space_group_name_Hall 'P 1'
_cell_length_a 5.2417
_cell_length_b 9.1028
_cell_length_c 11.3961
_cell_angle_alpha 112.53
_cell_angle_beta 102.70
_cell_angle_gamma 90.18
loop_
_atom_site_label
_atom_site_type_symbol
_atom_site_fract_x
_atom_site_fract_y
_atom_site_fract_z
Li1 Li 0.0000 0.0000 0.0000
Li2 Li 0.0313 0.0331 0.7424
Li3 Li 0.2191 0.2603 0.4971
Li4 Li 0.4978 0.4950 0.9904
Li5 Li 0.7106 0.7567 0.4943
Li6 Li 0.7589 0.7911 0.2365
Fe1 Fe 0.2085 0.9114 0.4629
Fe2 Fe 0.2495 0.6018 0.2147
Fe3 Fe 0.4785 0.8104 0.9559
Fe4 Fe 0.5056 0.2022 0.7157
Fe5 Fe 0.6924 0.4011 0.4585
Fe6 Fe 0.7388 0.1089 0.2097
Fe7 Fe 0.9800 0.3146 0.9621
Fe8 Fe 0.9980 0.6758 0.7101
B1 B 0.0015 0.3507 0.7053
B2 B 0.2045 0.5671 0.4616
B3 B 0.2485 0.9265 0.2015
B4 B 0.4637 0.1463 0.9561
B5 B 0.4909 0.8552 0.7060
B6 B 0.7071 0.0651 0.4550
B7 B 0.7505 0.4438 0.2101
B8 B 0.9688 0.6470 0.9604
O1 O 0.0653 0.7497 0.9100
O2 O 0.0958 0.0385 0.1828
O3 O 0.1413 0.5496 0.0035
O4 O 0.1518 0.8168 0.2472
O5 O 0.1927 0.1267 0.9395
O6 O 0.2494 0.3438 0.6879
O7 O 0.3119 0.6721 0.4153
O8 O 0.3218 0.4353 0.4611
O9 O 0.3521 0.9688 0.6729
O10 O 0.3673 0.7572 0.7488
O11 O 0.4708 0.0937 0.4927
O12 O 0.4957 0.9084 0.1739
O13 O 0.5724 0.2687 0.9313
O14 O 0.6048 0.5688 0.1982
O15 O 0.6231 0.0421 0.9930
O16 O 0.6657 0.3407 0.2565
O17 O 0.7156 0.6461 0.9712
O18 O 0.7514 0.8383 0.6939
O19 O 0.8146 0.9212 0.4432
O20 O 0.8336 0.1779 0.4270
O21 O 0.8501 0.4651 0.6757
O22 O 0.8982 0.2460 0.7502
O23 O 0.9743 0.6056 0.5080
O24 O 0.9879 0.4314 0.1715
```


- Number 3 is which compound?
  Li3Fe4B4O12